Ni8Ge2B3: calculated X-ray powder pattern (Cu Ka), based on a DFT-relaxed cell (GGA-PBE, OQMD).
Neutral-atom scattering factors, no anomalous dispersion.

Cell and atoms:
Cell lengths 2.946, 14.725, 6.097 Å; angles 90.00, 90.00, 90.00 degrees
Fractional coordinates of all 26 atoms:
Ni 0.250 0.024 0.201
Ni 0.250 0.105 0.633
Ni 0.250 0.250 0.076
Ni 0.250 0.395 0.633
Ni 0.250 0.476 0.201
Ni 0.250 0.663 0.659
Ni 0.250 0.750 0.298
Ni 0.250 0.837 0.659
Ni 0.750 0.163 0.341
Ni 0.750 0.250 0.702
Ni 0.750 0.337 0.341
Ni 0.750 0.524 0.799
Ni 0.750 0.605 0.367
Ni 0.750 0.750 0.924
Ni 0.750 0.895 0.367
Ni 0.750 0.976 0.799
Ge 0.250 0.626 0.038
Ge 0.250 0.874 0.038
Ge 0.750 0.126 0.962
Ge 0.750 0.374 0.962
B 0.250 0.250 0.456
B 0.250 0.532 0.539
B 0.250 0.968 0.539
B 0.750 0.032 0.461
B 0.750 0.468 0.461
B 0.750 0.750 0.544

Main lines, by intensity (2θ from 15° to 90°):
2θ 42.68, rel. 100; 2θ 41.98, rel. 80; 2θ 38.58, rel. 55; 2θ 45.62, rel. 40; 2θ 46.70, rel. 40; 2θ 43.45, rel. 33; 2θ 63.11, rel. 29; 2θ 51.35, rel. 23; 2θ 48.48, rel. 21; 2θ 38.34, rel. 18


ZnSnSbP: calculated X-ray powder pattern (Cu Ka), based on a DFT-relaxed cell (GGA-PBE, OQMD).
Neutral-atom scattering factors, no anomalous dispersion.

Cell and atoms:
Cell lengths 6.040, 6.040, 7.350 Å; angles 114.05, 114.05, 90.02 degrees
Fractional coordinates of all 8 atoms:
Zn 0.148 0.852 0.500
Zn 0.852 0.148 0.000
Sn 0.352 0.571 0.000
Sn 0.571 0.352 0.500
Sb 0.757 0.979 0.249
Sb 0.979 0.757 0.749
P 0.206 0.479 0.251
P 0.479 0.206 0.751

Main lines, by intensity (2θ from 15° to 90°):
2θ 25.57, rel. 100; 2θ 42.35, rel. 59; 2θ 42.54, rel. 30; 2θ 25.66, rel. 27; 2θ 34.03, rel. 25; 2θ 50.09, rel. 22; 2θ 26.74, rel. 19; 2θ 50.21, rel. 15; 2θ 16.44, rel. 12; 2θ 50.34, rel. 10


SmMg2: calculated X-ray powder pattern (Cu Ka), based on a DFT-relaxed cell (GGA-PBE, OQMD).
Neutral-atom scattering factors, no anomalous dispersion.

Cell and atoms:
Cell lengths 7.732, 7.732, 5.231 Å; angles 90.00, 90.00, 148.87 degrees
Fractional coordinates of all 6 atoms:
Sm 0.084 0.916 0.750
Sm 0.916 0.084 0.250
Mg 0.242 0.758 0.250
Mg 0.407 0.593 0.750
Mg 0.593 0.407 0.250
Mg 0.758 0.242 0.750

Main lines, by intensity (2θ from 15° to 90°):
2θ 32.93, rel. 100; 2θ 20.75, rel. 42; 2θ 22.24, rel. 39; 2θ 34.29, rel. 23; 2θ 29.44, rel. 22; 2θ 36.18, rel. 19; 2θ 60.54, rel. 17; 2θ 41.25, rel. 16; 2θ 28.10, rel. 15; 2θ 50.70, rel. 14